# CaLaFe2O6
Computed powder diffraction line list, λ = 1.5418 Å (Cu Kα). Input: a cell relaxed with PBE+U.
Lines closer than 0.1° are merged.

Crystal structure
```
data_CaLaFe2O6
_chemical_formula_sum 'Ca2 La2 Fe4 O12'
_symmetry_space_group_name_H-M 'P m n 21'
_symmetry_Int_Tables_number 31
_cell_length_a 7.7872
_cell_length_b 5.5433
_cell_length_c 5.4930
_cell_angle_alpha 90.00
_cell_angle_beta 90.00
_cell_angle_gamma 90.00
loop_
_symmetry_equiv_pos_as_xyz
'x,y,z'
'-x+1/2,-y,z+1/2'
'-x,y,z'
'x+1/2,-y,z+1/2'
loop_
_atom_site_label
_atom_site_fract_x
_atom_site_fract_y
_atom_site_fract_z
Ca1 0.0000 0.2074 0.0000
La1 0.0000 0.7170 0.5159
Fe1 0.2494 0.2497 0.5096
O1 0.0000 0.2653 0.4303
O2 0.0000 0.7686 0.0795
O3 0.2085 0.4618 0.7974
O4 0.2124 0.9659 0.7260
```

Principal peaks in the range 5° ≤ 2θ ≤ 70°, by intensity:
- d 2.756, I = 100, hkl 2 1 1
- d 1.588, I = 33, hkl 2 1 3
- d 1.951, I = 31, hkl 0 2 2
- d 2.746, I = 24, hkl 0 0 2
- d 2.772, I = 24, hkl 0 2 0
- d 4.489, I = 22, hkl 1 0 1
- d 4.516, I = 21, hkl 1 1 0
- d 2.348, I = 20, hkl 3 0 1
- d 1.947, I = 17, hkl 4 0 0
- d 1.378, I = 16, hkl 4 2 2
- d 1.597, I = 16, hkl 2 3 1
- d 1.593, I = 10, hkl 4 2 0